(1)
Theoretical PXRD pattern
Compound: Sc2Be2SiRh5
Radiation: Cu Kα X-rays
Structure: a PBE-relaxed structure
Kinematic intensities with the Lorentz-polarization factor, no thermal factor.

Structure:
```
data_Sc2Be2SiRh5
_cell_length_a 9.435
_cell_length_b 9.435
_cell_length_c 3.048
_cell_angle_alpha 90.00
_cell_angle_beta 90.00
_cell_angle_gamma 90.00
_symmetry_space_group_name_H-M 'P 4/m b m'
_symmetry_Int_Tables_number 127
_symmetry_space_group_name_Hall '-P 4 2ab'
loop_
_atom_site_label
_atom_site_type_symbol
_atom_site_fract_x
_atom_site_fract_y
_atom_site_fract_z
Sc1 Sc 0.174 0.326 0.000
Be1 Be 0.125 0.625 0.000
Si1 Si 0.000 0.000 0.000
Rh1 Rh 0.000 0.500 0.500
Rh2 Rh 0.068 0.796 0.500
```

The 10 most intense peaks (2θ from 5° to 70°), by angle:
(0 0 1), 2θ = 29.31°, I = 57; (3 1 0), 2θ = 29.95°, I = 35; (3 2 0), 2θ = 34.27°, I = 36; (2 1 1), 2θ = 36.36°, I = 42; (4 1 0), 2θ = 39.37°, I = 82; (2 2 1), 2θ = 40.07°, I = 21; (3 1 1), 2θ = 42.40°, I = 100; (4 2 0), 2θ = 42.86°, I = 27; (3 2 1), 2θ = 45.70°, I = 45; (4 1 1), 2θ = 49.83°, I = 28


(2)
Theoretical PXRD pattern
Compound: BeSiRh4
Radiation: Cu Kα X-rays
Structure: a PBE-relaxed structure
Kinematic intensities with the Lorentz-polarization factor, no thermal factor.

Structure:
```
data_BeSiRh4
_cell_length_a 3.908
_cell_length_b 3.908
_cell_length_c 5.508
_cell_angle_alpha 90.00
_cell_angle_beta 90.00
_cell_angle_gamma 90.00
_symmetry_space_group_name_H-M 'P 4/m m m'
_symmetry_Int_Tables_number 123
_symmetry_space_group_name_Hall '-P 4 2'
loop_
_atom_site_label
_atom_site_type_symbol
_atom_site_fract_x
_atom_site_fract_y
_atom_site_fract_z
Be1 Be 0.000 0.000 0.000
Si1 Si 0.500 0.500 0.500
Rh1 Rh 0.000 0.500 0.244
```

The 9 most intense peaks (2θ from 5° to 70°), by angle:
(1 0 0), 2θ = 22.76°, I = 1; (1 0 1), 2θ = 28.00°, I = 2; (1 1 0), 2θ = 32.40°, I = 67; (0 0 2), 2θ = 32.51°, I = 33; (1 1 1), 2θ = 36.38°, I = 1; (2 0 0), 2θ = 46.53°, I = 100; (2 0 2), 2θ = 57.87°, I = 25; (2 2 0), 2θ = 67.84°, I = 11; (0 0 4), 2θ = 68.09°, I = 5


(3)
Theoretical PXRD pattern
Compound: SmBe2SiRh2
Radiation: Cu Kα X-rays
Structure: a PBE-relaxed structure
Kinematic intensities with the Lorentz-polarization factor, no thermal factor.

Structure:
```
data_SmBe2SiRh2
_cell_length_a 4.084
_cell_length_b 4.084
_cell_length_c 5.612
_cell_angle_alpha 90.00
_cell_angle_beta 90.00
_cell_angle_gamma 90.00
_symmetry_space_group_name_H-M 'P 4/m m m'
_symmetry_Int_Tables_number 123
_symmetry_space_group_name_Hall '-P 4 2'
loop_
_atom_site_label
_atom_site_type_symbol
_atom_site_fract_x
_atom_site_fract_y
_atom_site_fract_z
Sm1 Sm 0.000 0.000 0.000
Be1 Be 0.000 0.500 0.500
Si1 Si 0.000 0.000 0.500
Rh1 Rh 0.500 0.500 0.256
```

The 10 most intense peaks (2θ from 5° to 70°), by angle:
(0 0 1), 2θ = 15.79°, I = 14; (1 0 1), 2θ = 27.00°, I = 29; (1 1 0), 2θ = 30.96°, I = 88; (1 1 1), 2θ = 34.94°, I = 14; (1 0 2), 2θ = 38.94°, I = 100; (2 0 0), 2θ = 44.36°, I = 37; (2 1 1), 2θ = 52.70°, I = 9; (2 1 2), 2θ = 60.48°, I = 54; (2 2 0), 2θ = 64.53°, I = 12; (0 0 4), 2θ = 66.67°, I = 5


(4)
Theoretical PXRD pattern
Compound: Tb2Be2SiRh5
Radiation: Cu Kα X-rays
Structure: a PBE-relaxed structure
Kinematic intensities with the Lorentz-polarization factor, no thermal factor.

Structure:
```
data_Tb2Be2SiRh5
_cell_length_a 9.639
_cell_length_b 9.639
_cell_length_c 3.157
_cell_angle_alpha 90.00
_cell_angle_beta 90.00
_cell_angle_gamma 90.00
_symmetry_space_group_name_H-M 'P 4/m b m'
_symmetry_Int_Tables_number 127
_symmetry_space_group_name_Hall '-P 4 2ab'
loop_
_atom_site_label
_atom_site_type_symbol
_atom_site_fract_x
_atom_site_fract_y
_atom_site_fract_z
Tb1 Tb 0.176 0.324 0.000
Be1 Be 0.122 0.622 0.000
Si1 Si 0.000 0.000 0.000
Rh1 Rh 0.000 0.500 0.500
Rh2 Rh 0.065 0.794 0.500
```

The 10 most intense peaks (2θ from 5° to 70°), by angle:
(2 1 0), 2θ = 20.60°, I = 20; (2 0 1), 2θ = 33.94°, I = 25; (2 1 1), 2θ = 35.23°, I = 87; (4 1 0), 2θ = 38.51°, I = 100; (2 2 1), 2θ = 38.88°, I = 26; (3 3 0), 2θ = 39.67°, I = 38; (3 1 1), 2θ = 41.16°, I = 89; (3 2 1), 2θ = 44.40°, I = 30; (6 2 1), 2θ = 68.34°, I = 20; (5 4 1), 2θ = 69.13°, I = 23


(5)
Theoretical PXRD pattern
Compound: Y2BeSiRh6
Radiation: Cu Kα X-rays
Structure: a PBE-relaxed structure
Kinematic intensities with the Lorentz-polarization factor, no thermal factor.

Structure:
```
data_Y2BeSiRh6
_cell_length_a 6.158
_cell_length_b 6.171
_cell_length_c 8.714
_cell_angle_alpha 90.00
_cell_angle_beta 90.00
_cell_angle_gamma 90.00
_symmetry_space_group_name_H-M 'I m m m'
_symmetry_Int_Tables_number 71
_symmetry_space_group_name_Hall '-I 2 2'
loop_
_atom_site_label
_atom_site_type_symbol
_atom_site_fract_x
_atom_site_fract_y
_atom_site_fract_z
Y1 Y 0.000 0.000 0.250
Be1 Be 0.000 0.500 0.000
Si1 Si 0.000 0.500 0.500
Rh1 Rh 0.000 0.500 0.242
Rh2 Rh 0.242 0.257 0.000
```

The 9 most intense peaks (2θ from 5° to 70°), by angle:
(1 1 0), 2θ = 20.38°, I = 2; (0 1 3), 2θ = 34.12°, I = 1; (2 0 2), 2θ = 35.68°, I = 100; (2 2 0), 2θ = 41.44°, I = 58; (3 0 1), 2θ = 45.35°, I = 1; (3 1 0), 2θ = 46.60°, I = 1; (3 0 3), 2θ = 54.72°, I = 1; (2 2 4), 2θ = 60.03°, I = 31; (4 0 0), 2θ = 60.10°, I = 6


(6)
Theoretical PXRD pattern
Compound: Sm3BeRh2
Radiation: Cu Kα X-rays
Structure: a PBE-relaxed structure
Kinematic intensities with the Lorentz-polarization factor, no thermal factor.

Structure:
```
data_Sm3BeRh2
_cell_length_a 11.396
_cell_length_b 3.956
_cell_length_c 11.893
_cell_angle_alpha 90.00
_cell_angle_beta 90.00
_cell_angle_gamma 90.00
_symmetry_space_group_name_H-M 'P n m a'
_symmetry_Int_Tables_number 62
loop_
_symmetry_equiv_pos_as_xyz
'x,y,z'
'-x,-y,-z'
'-x+1/2,-y,z+1/2'
'x+1/2,y,-z+1/2'
'x+1/2,-y+1/2,-z+1/2'
'-x+1/2,y+1/2,z+1/2'
'-x,y+1/2,-z'
'x,-y+1/2,z'
loop_
_atom_site_label
_atom_site_type_symbol
_atom_site_fract_x
_atom_site_fract_y
_atom_site_fract_z
Sm1 Sm 0.065 0.250 0.120
Sm2 Sm 0.125 0.750 0.552
Sm3 Sm 0.201 0.250 0.799
Be1 Be 0.125 0.250 0.365
Rh1 Rh 0.033 0.750 0.318
Rh2 Rh 0.194 0.750 0.973
```

The 10 most intense peaks (2θ from 5° to 70°), by angle:
(3 0 2), 2θ = 27.87°, I = 40; (2 1 2), 2θ = 31.37°, I = 58; (0 1 3), 2θ = 31.96°, I = 100; (4 0 1), 2θ = 32.31°, I = 60; (1 1 3), 2θ = 32.94°, I = 41; (3 1 1), 2θ = 33.56°, I = 62; (3 1 2), 2θ = 36.09°, I = 41; (2 0 5), 2θ = 41.13°, I = 42; (4 1 2), 2θ = 41.93°, I = 41; (0 2 0), 2θ = 45.87°, I = 48


(7)
Theoretical PXRD pattern
Compound: SrBe4Rh
Radiation: Cu Kα X-rays
Structure: a PBE-relaxed structure
Kinematic intensities with the Lorentz-polarization factor, no thermal factor.

Structure:
```
data_SrBe4Rh
_cell_length_a 6.796
_cell_length_b 6.796
_cell_length_c 6.796
_cell_angle_alpha 90.00
_cell_angle_beta 90.00
_cell_angle_gamma 90.00
_symmetry_space_group_name_H-M 'F -4 3 m'
_symmetry_Int_Tables_number 216
_symmetry_space_group_name_Hall 'F -4 2 3'
loop_
_atom_site_label
_atom_site_type_symbol
_atom_site_fract_x
_atom_site_fract_y
_atom_site_fract_z
Sr1 Sr 0.000 0.000 0.000
Be1 Be 0.120 0.120 0.620
Rh1 Rh 0.250 0.250 0.250
```

The 8 most intense peaks (2θ from 5° to 70°), by angle:
(1 1 1), 2θ = 22.66°, I = 100; (2 0 0), 2θ = 26.23°, I = 1; (2 2 0), 2θ = 37.43°, I = 99; (3 1 1), 2θ = 44.20°, I = 73; (2 2 2), 2θ = 46.28°, I = 1; (4 0 0), 2θ = 53.97°, I = 13; (3 3 1), 2θ = 59.27°, I = 21; (4 2 2), 2θ = 67.52°, I = 34


(8)
Theoretical PXRD pattern
Compound: TaBeRh2
Radiation: Cu Kα X-rays
Structure: a PBE-relaxed structure
Kinematic intensities with the Lorentz-polarization factor, no thermal factor.

Structure:
```
data_TaBeRh2
_cell_length_a 2.888
_cell_length_b 2.888
_cell_length_c 6.456
_cell_angle_alpha 90.00
_cell_angle_beta 90.00
_cell_angle_gamma 90.00
_symmetry_space_group_name_H-M 'P 4/m m m'
_symmetry_Int_Tables_number 123
_symmetry_space_group_name_Hall '-P 4 2'
loop_
_atom_site_label
_atom_site_type_symbol
_atom_site_fract_x
_atom_site_fract_y
_atom_site_fract_z
Ta1 Ta 0.000 0.000 0.000
Be1 Be 0.000 0.000 0.500
Rh1 Rh 0.500 0.500 0.286
```

The 10 most intense peaks (2θ from 5° to 70°), by angle:
(0 0 1), 2θ = 13.72°, I = 35; (1 0 1), 2θ = 34.01°, I = 53; (1 0 2), 2θ = 41.98°, I = 100; (1 1 0), 2θ = 44.36°, I = 41; (1 1 1), 2θ = 46.65°, I = 7; (1 0 3), 2θ = 53.07°, I = 1; (0 0 4), 2θ = 57.06°, I = 6; (1 1 3), 2θ = 62.72°, I = 17; (2 0 0), 2θ = 64.54°, I = 13; (2 0 1), 2θ = 66.34°, I = 3


(9)
Theoretical PXRD pattern
Compound: TaBeRh2
Radiation: Cu Kα X-rays
Structure: a PBE-relaxed structure
Kinematic intensities with the Lorentz-polarization factor, no thermal factor.

Structure:
```
data_TaBeRh2
_cell_length_a 2.978
_cell_length_b 9.991
_cell_length_c 7.217
_cell_angle_alpha 90.00
_cell_angle_beta 90.00
_cell_angle_gamma 90.00
_symmetry_space_group_name_H-M 'C m c m'
_symmetry_Int_Tables_number 63
_symmetry_space_group_name_Hall '-C 2c 2'
loop_
_atom_site_label
_atom_site_type_symbol
_atom_site_fract_x
_atom_site_fract_y
_atom_site_fract_z
Ta1 Ta 0.000 0.050 0.250
Be1 Be 0.000 0.236 0.750
Rh1 Rh 0.000 0.366 0.047
```

The 10 most intense peaks (2θ from 5° to 70°), by angle:
(0 2 0), 2θ = 17.75°, I = 30; (0 2 2), 2θ = 30.56°, I = 31; (1 1 1), 2θ = 33.77°, I = 18; (0 4 1), 2θ = 38.13°, I = 24; (1 1 2), 2θ = 40.29°, I = 100; (1 3 0), 2θ = 40.64°, I = 45; (0 2 3), 2θ = 41.67°, I = 39; (1 3 1), 2θ = 42.61°, I = 36; (0 4 2), 2θ = 44.09°, I = 25; (1 5 3), 2θ = 68.72°, I = 25


(10)
Theoretical PXRD pattern
Compound: Ta3BeRh
Radiation: Cu Kα X-rays
Structure: a PBE-relaxed structure
Kinematic intensities with the Lorentz-polarization factor, no thermal factor.

Structure:
```
data_Ta3BeRh
_cell_length_a 4.358
_cell_length_b 4.358
_cell_length_c 4.358
_cell_angle_alpha 90.00
_cell_angle_beta 90.00
_cell_angle_gamma 90.00
_symmetry_space_group_name_H-M 'P m -3 m'
_symmetry_Int_Tables_number 221
_symmetry_space_group_name_Hall '-P 4 2 3'
loop_
_atom_site_label
_atom_site_type_symbol
_atom_site_fract_x
_atom_site_fract_y
_atom_site_fract_z
Ta1 Ta 0.000 0.000 0.500
Be1 Be 0.000 0.000 0.000
Rh1 Rh 0.500 0.500 0.500
```

The 9 most intense peaks (2θ from 5° to 70°), by angle:
(1 0 0), 2θ = 20.38°, I = 5; (1 1 0), 2θ = 28.97°, I = 3; (1 1 1), 2θ = 35.68°, I = 100; (2 0 0), 2θ = 41.44°, I = 52; (2 1 0), 2θ = 46.60°, I = 2; (2 1 1), 2θ = 51.35°, I = 1; (2 2 0), 2θ = 60.04°, I = 35; (3 0 0), 2θ = 64.10°, I = 1; (3 1 0), 2θ = 68.02°, I = 1


(11)
Theoretical PXRD pattern
Compound: ThBe5Rh
Radiation: Cu Kα X-rays
Structure: a PBE-relaxed structure
Kinematic intensities with the Lorentz-polarization factor, no thermal factor.

Structure:
```
data_ThBe5Rh
_cell_length_a 7.694
_cell_length_b 4.598
_cell_length_c 9.822
_cell_angle_alpha 90.00
_cell_angle_beta 90.00
_cell_angle_gamma 90.00
_symmetry_space_group_name_H-M 'P n m a'
_symmetry_Int_Tables_number 62
loop_
_symmetry_equiv_pos_as_xyz
'x,y,z'
'-x,-y,-z'
'-x+1/2,-y,z+1/2'
'x+1/2,y,-z+1/2'
'x+1/2,-y+1/2,-z+1/2'
'-x+1/2,y+1/2,z+1/2'
'-x,y+1/2,-z'
'x,-y+1/2,z'
loop_
_atom_site_label
_atom_site_type_symbol
_atom_site_fract_x
_atom_site_fract_y
_atom_site_fract_z
Th1 Th 0.225 0.250 0.063
Be1 Be 0.032 0.750 0.137
Be2 Be 0.059 0.005 0.318
Be3 Be 0.077 0.250 0.512
Be4 Be 0.202 0.250 0.748
Rh1 Rh 0.141 0.750 0.853
```

The 10 most intense peaks (2θ from 5° to 70°), by angle:
(0 1 1), 2θ = 21.34°, I = 78; (2 0 0), 2θ = 23.12°, I = 61; (1 1 1), 2θ = 24.30°, I = 100; (0 1 3), 2θ = 33.60°, I = 61; (1 1 3), 2θ = 35.63°, I = 43; (1 0 4), 2θ = 38.48°, I = 50; (0 2 0), 2θ = 39.18°, I = 37; (2 1 3), 2θ = 41.19°, I = 53; (3 1 1), 2θ = 41.35°, I = 57; (1 2 4), 2θ = 56.09°, I = 32


(12)
Theoretical PXRD pattern
Compound: Th3Be2Rh9
Radiation: Cu Kα X-rays
Structure: a PBE-relaxed structure
Kinematic intensities with the Lorentz-polarization factor, no thermal factor.

Structure:
```
data_Th3Be2Rh9
_cell_length_a 6.0146
_cell_length_b 6.0146
_cell_length_c 7.3517
_cell_angle_alpha 90.00
_cell_angle_beta 90.00
_cell_angle_gamma 120.00
_symmetry_space_group_name_H-M 'P -3 m 1'
_symmetry_Int_Tables_number 164
_symmetry_space_group_name_Hall '-P 3 2"'
loop_
_atom_site_label
_atom_site_type_symbol
_atom_site_fract_x
_atom_site_fract_y
_atom_site_fract_z
Th1 Th 0.0000 0.0000 0.0000
Th2 Th 0.3333 0.6667 0.3351
Be1 Be 0.3333 0.6667 0.8128
Rh1 Rh 0.0000 0.5000 0.0000
Rh2 Rh 0.1564 0.3129 0.6574
```

The 10 most intense peaks (2θ from 5° to 70°), by angle:
(0 1 1), 2θ = 20.90°, I = 13; (1 1 0), 2θ = 29.73°, I = 14; (0 0 3), 2θ = 36.62°, I = 100; (0 2 2), 2θ = 42.54°, I = 51; (1 1 3), 2θ = 47.86°, I = 7; (2 1 2), 2θ = 52.74°, I = 4; (0 1 4), 2θ = 52.82°, I = 1; (2 0 4), 2θ = 61.73°, I = 33; (3 1 1), 2θ = 65.91°, I = 3; (1 3 2), 2θ = 69.97°, I = 2


(13)
Theoretical PXRD pattern
Compound: Th2Be2Rh5
Radiation: Cu Kα X-rays
Structure: a PBE-relaxed structure
Kinematic intensities with the Lorentz-polarization factor, no thermal factor.

Structure:
```
data_Th2Be2Rh5
_cell_length_a 4.244
_cell_length_b 4.244
_cell_length_c 8.219
_cell_angle_alpha 90.00
_cell_angle_beta 90.00
_cell_angle_gamma 90.00
_symmetry_space_group_name_H-M 'P 4/m m m'
_symmetry_Int_Tables_number 123
_symmetry_space_group_name_Hall '-P 4 2'
loop_
_atom_site_label
_atom_site_type_symbol
_atom_site_fract_x
_atom_site_fract_y
_atom_site_fract_z
Th1 Th 0.000 0.000 0.000
Th2 Th 0.000 0.000 0.500
Be1 Be 0.500 0.500 0.160
Rh1 Rh 0.000 0.500 0.245
Rh2 Rh 0.500 0.500 0.500
```

The 10 most intense peaks (2θ from 5° to 70°), by angle:
(1 0 0), 2θ = 20.93°, I = 23; (1 0 2), 2θ = 30.27°, I = 22; (1 1 2), 2θ = 37.09°, I = 100; (2 0 0), 2θ = 42.60°, I = 35; (0 0 4), 2θ = 44.07°, I = 16; (2 1 0), 2θ = 47.93°, I = 6; (1 0 4), 2θ = 49.27°, I = 7; (2 1 2), 2θ = 53.15°, I = 9; (2 2 0), 2θ = 61.83°, I = 12; (2 0 4), 2θ = 62.97°, I = 21